Structure and simulated X-ray powder pattern of Tm2PaTc3 (the GGA-PBE geometry in Alexandria; Cu Kα (λ = 1.5418 Å)).
Lines closer than 0.1° are merged.

Largest 10 diffraction maxima, in order of rising 2θ, 10 to 90 degrees two-theta:
| 2θ (°) | I (rel.) |
| --- | --- |
| 26.16 | 24 |
| 35.68 | 57 |
| 37.12 | 100 |
| 37.72 | 95 |
| 38.93 | 41 |
| 53.75 | 16 |
| 53.91 | 16 |
| 54.09 | 17 |
| 65.73 | 18 |
| 69.32 | 13 |

Structure:
Lattice parameters (Å, degrees): 4.8554 6.8473 7.5397 91.36 108.41 94.04
Element x y z (fractional)
Tm 0.0000 0.0000 0.0000
Tm 0.0000 0.5000 0.0000
Tm 0.3364 0.4993 0.6692
Tm 0.6636 0.5007 0.3308
Pa 0.3364 0.9969 0.6743
Pa 0.6636 0.0031 0.3257
Tc 0.1351 0.2300 0.3402
Tc 0.2057 0.7768 0.3543
Tc 0.4893 0.2318 0.9804
Tc 0.5107 0.7682 0.0196
Tc 0.7943 0.2232 0.6457
Tc 0.8649 0.7700 0.6598